This entry pairs a crystal structure of PrErCO with its simulated XRD peak list. Radiation: Cu Ka. Structure: a DFT-relaxed cell (PBE, Alexandria).

Main lines, by intensity (10° ≤ 2θ ≤ 90°):
2theta  I/Imax  h k l
41.66  100  1 1 2
27.40  64  0 1 1
29.34  53  0 0 4
28.91  51  1 0 1
35.79  39  1 0 3
34.55  39  0 1 3
60.63  35  1 1 6
45.95  21  0 1 5

Crystal structure
```
data_PrErCO
_cell_length_a 3.1924
_cell_length_b 3.3775
_cell_length_c 12.1747
_cell_angle_alpha 90.00
_cell_angle_beta 90.00
_cell_angle_gamma 90.00
_symmetry_space_group_name_H-M 'I m m 2'
_symmetry_Int_Tables_number 44
loop_
_symmetry_equiv_pos_as_xyz
'x,y,z'
'-x,-y,z'
'-x,y,z'
'x,-y,z'
'x+1/2,y+1/2,z+1/2'
'-x+1/2,-y+1/2,z+1/2'
'-x+1/2,y+1/2,z+1/2'
'x+1/2,-y+1/2,z+1/2'
loop_
_atom_site_label
_atom_site_fract_x
_atom_site_fract_y
_atom_site_fract_z
Pr1 0.0000 0.0000 0.0000
Er1 0.0000 0.5000 0.2507
C1 0.0000 0.5000 0.8379
O1 0.0000 0.0000 0.5984
```